[1]
Simulated powder diffractogram of Li4Nb3Ni3Te2O16 for a wavelength of 1.5418 Å, from a cell relaxed with GGA+U.
Peak positions follow from Bragg's law for the DFT cell and can differ from measured ones.

Top 10 peaks for 2θ from 5° to 70°, by intensity:
| d/Å | intensity |
| --- | --- |
| 4.685 | 100 |
| 2.544 | 71 |
| 2.602 | 69 |
| 5.204 | 61 |
| 2.901 | 56 |
| 4.759 | 51 |
| 3.686 | 37 |
| 2.640 | 36 |
| 2.661 | 34 |
| 1.540 | 34 |

Structure:
```
28
Lattice="5.3807 -3.0052 0.0000 5.3807 3.0052 0.0000 -0.1087 0.0000 10.4088" Properties=species:S:1:pos:R:3 pbc="T T T"
Li 0.0000 0.0000 0.0000
Li -0.0163 0.0000 5.3895
Li 3.4764 0.0000 9.6078
Li 7.0441 0.0000 4.4019
Nb 4.3074 1.5006 2.4866
Nb 4.3074 -1.5006 2.4866
Nb 8.6995 0.0000 7.8126
Ni 1.7344 0.0000 2.3251
Ni 6.1765 1.4674 7.6319
Ni 6.1765 -1.4674 7.6319
Te 3.4374 0.0000 5.5675
Te 6.8733 0.0000 0.1206
O 0.0063 0.0000 3.4570
O 2.7197 1.5002 3.5127
O 1.6850 0.0000 6.4582
O 4.3594 1.4958 6.4649
O 6.0856 1.5200 1.1394
O 3.5431 0.0000 1.2421
O 5.2042 0.0000 3.6150
O 2.7197 -1.5002 3.5127
O 7.9408 1.4010 8.8639
O 5.4476 0.0000 9.0574
O 4.3594 -1.4958 6.4649
O 7.1957 0.0000 6.5081
O 6.0856 -1.5200 1.1394
O 9.1793 0.0000 1.1895
O 7.9408 -1.4010 8.8639
O 10.5621 0.0000 8.5059
```

***

[2]
Simulated powder diffractogram of Li4Ti3Nb2Ni3O16 for a wavelength of 1.5418 Å, from a cell relaxed with GGA+U.
Peak positions follow from Bragg's law for the DFT cell and can differ from measured ones.

Top 10 peaks for 2θ from 5° to 70°, by intensity:
| d/Å | intensity |
| --- | --- |
| 4.577 | 100 |
| 2.551 | 50 |
| 2.762 | 43 |
| 2.502 | 37 |
| 2.028 | 34 |
| 3.557 | 33 |
| 1.562 | 33 |
| 2.288 | 22 |
| 1.496 | 18 |
| 4.898 | 18 |

Structure:
```
28
Lattice="5.1859 -2.9829 0.0000 5.1859 2.9829 0.0000 -0.0009 0.0000 9.7963" Properties=species:S:1:pos:R:3 pbc="T T T"
Li 0.0000 0.0000 0.0000
Li 0.0287 0.0000 4.9981
Li 3.4807 0.0000 5.8040
Li 6.9372 0.0000 0.8538
Ti 4.2153 1.4825 2.6974
Ti 4.2153 -1.4825 2.6974
Ti 8.5396 0.0000 7.4622
Nb 3.4687 0.0000 9.7441
Nb 6.7313 0.0000 4.9739
Ni 1.7603 0.0000 2.8015
Ni 6.0984 1.4720 7.7077
Ni 6.0984 -1.4720 7.7077
O 2.7683 1.3678 1.5457
O 4.3041 1.4748 8.8804
O 1.7573 0.0000 8.9370
O 6.0442 1.4869 3.9360
O 3.5901 0.0000 3.8099
O 5.0123 0.0000 1.5911
O 2.7683 -1.3678 1.5457
O 5.3992 0.0000 6.3299
O 7.7850 1.3084 6.3327
O 4.3041 -1.4748 8.8804
O 7.0710 0.0000 8.6928
O 6.0442 -1.4869 3.9360
O 8.6810 0.0000 3.8614
O 7.7850 -1.3084 6.3327
O 10.3323 0.0000 1.8592
O 10.3277 0.0000 6.8365
```

***

[3]
Simulated powder diffractogram of Li4Nb2V3Ni3O16 for a wavelength of 1.5418 Å, from a cell relaxed with GGA+U.
Peak positions follow from Bragg's law for the DFT cell and can differ from measured ones.

Top 10 peaks for 2θ from 5° to 70°, by intensity:
| d/Å | intensity |
| --- | --- |
| 4.556 | 100 |
| 2.542 | 41 |
| 2.493 | 35 |
| 3.541 | 32 |
| 2.748 | 24 |
| 4.855 | 24 |
| 2.021 | 23 |
| 4.526 | 23 |
| 1.485 | 23 |
| 2.526 | 22 |

Structure:
```
28
Lattice="5.9391 0.0000 0.0000 2.9451 5.1610 0.0000 0.0733 0.0298 9.7101" Properties=species:S:1:pos:R:3 pbc="T T T"
Li 0.0000 0.0000 0.0000
Li 0.0480 0.0152 4.7906
Li 2.9870 1.7020 5.6725
Li 5.8703 3.3974 0.8691
Nb 3.0781 1.7735 0.0050
Nb 5.9292 3.4340 4.7229
V 1.5570 0.8946 2.5397
V 4.5739 4.3319 7.4683
V 6.0665 1.7843 7.4537
Ni 2.9324 3.3917 2.6818
Ni 4.4115 0.8442 2.6818
Ni 7.4341 4.2951 7.5771
O 0.0896 0.0226 6.6313
O 0.0867 0.0360 1.8335
O 1.5793 2.4075 1.3409
O 1.5181 0.8591 8.5933
O 3.0746 3.4663 8.6664
O 2.8199 1.6200 3.6866
O 4.4881 4.2937 3.8458
O 2.8825 0.1624 1.3367
O 4.2509 2.4542 1.3617
O 5.8503 4.9630 6.3108
O 4.6512 2.6753 6.3366
O 5.8503 3.3720 8.5734
O 4.5462 0.9112 8.6605
O 7.4156 4.2932 3.9240
O 5.9665 1.7508 3.8480
O 7.2379 2.5881 6.3131
```

***

[4]
Simulated powder diffractogram of Li4Nb2V3Ni3O16 for a wavelength of 1.5418 Å, from a cell relaxed with GGA+U.
Peak positions follow from Bragg's law for the DFT cell and can differ from measured ones.

Top 10 peaks for 2θ from 5° to 70°, by intensity:
| d/Å | intensity |
| --- | --- |
| 4.576 | 100 |
| 4.546 | 47 |
| 2.502 | 43 |
| 2.760 | 35 |
| 4.873 | 31 |
| 1.493 | 29 |
| 2.555 | 27 |
| 2.546 | 26 |
| 3.536 | 20 |
| 2.744 | 19 |

Structure:
```
28
Lattice="5.9578 0.0000 0.0000 2.9755 5.1768 0.0000 0.1009 -0.0360 9.7470" Properties=species:S:1:pos:R:3 pbc="T T T"
Li 0.0000 0.0000 0.0000
Li 0.0564 -0.0128 4.8375
Li 3.1247 1.6902 5.7546
Li 6.1024 3.3946 0.9017
Nb 3.0124 1.7425 9.6591
Nb 5.9955 3.4346 4.7744
V 4.4184 0.9012 2.5188
V 7.4638 4.2586 7.4634
V 6.0338 1.7622 7.5381
Ni 1.5800 0.8672 2.7385
Ni 3.0384 3.4074 2.7374
Ni 4.6152 4.2642 7.5668
O 1.7926 2.4308 1.4075
O 1.5919 0.8356 8.7555
O 3.1051 3.4126 8.7565
O 4.5371 4.3054 3.9132
O 3.2443 1.6023 3.7371
O 3.1697 0.1277 1.4767
O 4.4740 2.3786 1.4696
O 4.7841 2.6295 6.3106
O 6.1207 4.9565 6.3143
O 4.5537 0.8187 8.7576
O 6.2371 3.4363 8.6316
O 7.4704 4.3422 3.8507
O 5.9878 1.7245 3.8588
O 7.4336 2.7053 6.2888
O 5.9124 0.0496 1.8582
O 8.9535 5.1272 6.7010
```

***

[5]
Simulated powder diffractogram of Li6NbV3P6O24 for a wavelength of 1.5418 Å, from a cell relaxed with GGA+U.
Peak positions follow from Bragg's law for the DFT cell and can differ from measured ones.

Top 10 peaks for 2θ from 5° to 70°, by intensity:
| d/Å | intensity |
| --- | --- |
| 3.769 | 100 |
| 4.349 | 57 |
| 2.758 | 40 |
| 4.471 | 30 |
| 3.117 | 29 |
| 6.233 | 24 |
| 2.584 | 18 |
| 2.558 | 14 |
| 2.901 | 12 |
| 1.886 | 12 |

Structure:
```
40
Lattice="8.6971 0.0000 0.0000 4.1288 7.6650 0.0000 4.1113 2.4417 7.2777" Properties=species:S:1:pos:R:3 pbc="T T T"
Li 0.0000 0.0000 0.0000
Li 6.4567 6.0655 6.2300
Li 8.5526 8.1435 4.7212
Li 8.0953 6.1430 2.2837
Li 8.2852 3.0682 1.0544
Li 10.1961 1.6751 3.6439
Nb 11.0742 4.5956 2.2013
V 5.8538 6.6487 3.6748
V 6.6227 1.9375 5.7644
V 6.1556 1.6579 0.0460
P 2.9851 1.2542 1.3778
P 5.5451 4.8882 0.7106
P 8.4690 4.5305 4.4709
P 11.4558 8.0173 2.9506
P 13.9587 8.5026 6.5821
P 12.8410 4.0617 5.1782
O 2.1312 2.5561 1.6679
O 5.1652 5.1712 4.9974
O 4.0536 4.5415 1.0840
O 4.7328 2.6206 5.2677
O 7.1057 8.1292 2.7209
O 2.2318 0.5249 0.2369
O 6.2180 5.6571 1.8451
O 9.5087 8.1783 6.6934
O 7.7865 5.9349 4.3782
O 4.4195 1.5650 1.0132
O 7.4901 3.3827 4.6698
O 6.3721 3.6074 0.4903
O 10.5183 8.4561 4.1028
O 9.5320 4.5709 5.5530
O 12.4759 8.7104 6.3265
O 9.1370 4.3317 3.0349
O 7.2760 1.3168 1.7413
O 10.9296 6.5922 2.5263
O 14.6782 9.7923 7.0309
O 9.9618 4.9391 0.4204
O 12.1661 4.2961 6.5599
O 12.9273 7.9484 3.3529
O 11.8203 4.0075 3.9961
O 14.7799 7.9578 5.3785
```

***

[6]
Simulated powder diffractogram of Li4Ti3Nb2V3O16 for a wavelength of 1.5418 Å, from a cell relaxed with GGA+U.
Peak positions follow from Bragg's law for the DFT cell and can differ from measured ones.

Top 10 peaks for 2θ from 5° to 70°, by intensity:
| d/Å | intensity |
| --- | --- |
| 4.601 | 100 |
| 2.778 | 60 |
| 4.627 | 51 |
| 2.574 | 50 |
| 3.580 | 43 |
| 2.039 | 32 |
| 1.570 | 31 |
| 2.516 | 29 |
| 1.510 | 27 |
| 2.560 | 24 |

Structure:
```
28
Lattice="5.2429 -2.9977 0.0000 5.2429 2.9977 0.0000 -0.0011 0.0000 9.8430" Properties=species:S:1:pos:R:3 pbc="T T T"
Li 0.0000 0.0000 0.0000
Li 0.0370 0.0000 4.8843
Li 3.5644 0.0000 4.0158
Li 7.0360 0.0000 8.9392
Ti 4.3331 1.4701 7.1501
Ti 4.3331 -1.4701 7.1501
Ti 8.6846 0.0000 2.3134
Nb 3.4963 0.0000 0.0311
Nb 6.9481 0.0000 4.9310
V 1.8522 0.0000 7.0705
V 6.1703 1.4197 2.1486
V 6.1703 -1.4197 2.1486
O 10.4832 0.0000 7.9967
O 2.8303 1.3718 8.3574
O 1.7799 0.0000 0.9394
O 4.3713 1.4769 0.9774
O 6.1203 1.4810 5.9028
O 3.6554 0.0000 6.0162
O 5.0810 0.0000 8.3079
O 2.8303 -1.3718 8.3574
O 5.5018 0.0000 3.4976
O 7.8725 1.3132 3.4446
O 4.3713 -1.4769 0.9774
O 7.1816 0.0000 1.0757
O 6.1203 -1.4810 5.9028
O 8.7822 0.0000 5.9485
O 7.8725 -1.3132 3.4446
O 10.4651 0.0000 3.0418
```

***

[7]
Simulated powder diffractogram of Li3NbV2O6 for a wavelength of 1.5418 Å, from a cell relaxed with GGA+U.
Peak positions follow from Bragg's law for the DFT cell and can differ from measured ones.

Top 10 peaks for 2θ from 5° to 70°, by intensity:
| d/Å | intensity |
| --- | --- |
| 5.043 | 100 |
| 2.552 | 28 |
| 2.154 | 26 |
| 2.143 | 25 |
| 2.120 | 25 |
| 2.563 | 15 |
| 1.496 | 13 |
| 1.958 | 11 |
| 2.444 | 10 |
| 6.361 | 9 |

Structure:
```
24
Lattice="5.9809 0.0000 0.0000 -0.0308 6.1773 0.0000 -1.4872 -1.6781 6.3615" Properties=species:S:1:pos:R:3 pbc="T T T"
Li -0.0289 1.3686 2.1872
Li 1.5069 0.0097 0.0013
Li 1.4714 3.0534 4.2152
Li 2.9915 1.4457 2.1463
Li 2.9560 4.4894 6.3602
Li 4.4918 3.1306 4.1742
Nb -0.1659 1.4116 6.3530
Nb 4.6288 3.0876 0.0085
V -0.0210 4.5971 2.0871
V 1.4857 -0.1397 4.2187
V 2.9773 4.6388 2.1427
V 4.4839 -0.0980 4.2744
O -0.0089 1.4360 0.0504
O 0.0215 4.6292 4.1809
O 0.0141 1.4143 4.3116
O 1.5101 -0.0851 2.2083
O 1.5346 3.1275 2.0322
O 1.4838 -0.0496 6.2693
O 2.9792 4.5487 0.0921
O 2.9283 1.3716 4.3293
O 2.9529 4.5842 4.1532
O 4.4489 3.0848 2.0499
O 4.4414 -0.1301 2.1806
O 4.4718 3.0632 6.3110
```